# 1
This entry pairs a crystal structure of NdFeO3 with its calculated PXRD pattern. Radiation: Cu Kα (λ = 1.5418 Å). Structure: the PBE+U geometry in the Materials Project.

Structure:
```
NdFeO3
1.0
6.2531 0.0000 0.0000
0.0000 13.0625 0.0000
0.0000 0.0000 3.5133
Nd Fe O
4 4 12
direct
0.2376 0.2500 0.2381 Nd
0.2624 0.7500 0.7381 Nd
0.7376 0.2500 0.2619 Nd
0.7624 0.7500 0.7619 Nd
0.0000 0.0000 0.5000 Fe
0.0000 0.5000 0.5000 Fe
0.5000 0.0000 0.0000 Fe
0.5000 0.5000 0.0000 Fe
0.0024 0.2500 0.7408 O
0.1899 0.5735 0.8280 O
0.1899 0.9265 0.8280 O
0.3101 0.0735 0.3280 O
0.3101 0.4265 0.3280 O
0.4976 0.7500 0.2408 O
0.5024 0.2500 0.7592 O
0.6899 0.5735 0.6720 O
0.6899 0.9265 0.6720 O
0.8101 0.0735 0.1720 O
0.8101 0.4265 0.1720 O
0.9976 0.7500 0.2592 O
```

The 6 most intense peaks (2θ = 5–70°), in order of falling intensity:
2θ/deg	d/Å	intensity
27.3	3.266	100
26.3	3.393	96
39.2	2.299	95
31.7	2.820	87
13.6	6.531	71
44.0	2.058	47

=====

# 2
This entry pairs a crystal structure of LiVO2 with its calculated PXRD pattern. Radiation: Cu Kα (λ = 1.5418 Å). Structure: the PBE+U geometry in the Materials Project.

Structure:
```
LiVO2
1.0
5.1617 0.0000 0.0000
0.8483 5.1460 0.0000
2.5601 2.1731 7.1556
Li V O
5 5 10
direct
0.0000 0.0000 0.0000 Li
0.4944 0.8933 0.7201 Li
0.4947 0.2793 0.9180 Li
0.5053 0.7207 0.0820 Li
0.5056 0.1067 0.2799 Li
0.0043 0.4014 0.1919 V
0.0049 0.8104 0.3862 V
0.5000 0.5000 0.5000 V
0.9951 0.1896 0.6138 V
0.9957 0.5986 0.8081 V
0.2229 0.0491 0.1680 O
0.2308 0.4486 0.3657 O
0.2378 0.6431 0.9515 O
0.2392 0.8325 0.5486 O
0.2447 0.2647 0.7392 O
0.7553 0.7353 0.2608 O
0.7608 0.1675 0.4514 O
0.7622 0.3569 0.0485 O
0.7692 0.5514 0.6343 O
0.7771 0.9509 0.8320 O
```

The 6 most intense peaks (2θ = 5–70°), in order of falling intensity:
2θ/deg	d/Å	intensity
18.2	4.873	100
42.5	2.127	86
42.9	2.107	79
42.6	2.120	78
12.4	7.156	78
62.1	1.496	62

=====

# 3
This entry pairs a crystal structure of BaNaNdFeO6 with its calculated PXRD pattern. Radiation: Cu Kα (λ = 1.5418 Å). Structure: the PBE+U geometry in the Materials Project.

Structure:
```
BaNaNdFeO6
1.0
0.0000 4.1832 4.1832
4.1832 0.0000 4.1832
4.1832 4.1832 0.0000
Ba Na Nd Fe O
1 1 1 1 6
direct
0.0000 0.0000 0.0000 Ba
0.5000 0.5000 0.5000 Na
0.2500 0.2500 0.2500 Nd
0.7500 0.7500 0.7500 Fe
0.5257 0.5257 0.9743 O
0.5257 0.9743 0.5257 O
0.5257 0.9743 0.9743 O
0.9743 0.5257 0.5257 O
0.9743 0.5257 0.9743 O
0.9743 0.9743 0.5257 O
```

The 6 most intense peaks (2θ = 5–70°), in order of falling intensity:
2θ/deg	d/Å	intensity
30.2	2.958	100
53.7	1.708	39
43.3	2.092	34
18.4	4.830	33
35.6	2.523	23
62.8	1.479	20

=====

# 4
This entry pairs a crystal structure of MgCrFeBi2O6 with its calculated PXRD pattern. Radiation: Cu Kα (λ = 1.5418 Å). Structure: the PBE+U geometry in the Materials Project.

Structure:
```
MgCrFeBi2O6
1.0
5.6028 0.0000 0.0000
2.7061 4.9352 0.0000
2.6793 1.6243 5.6096
Mg Cr Fe Bi O
1 1 1 2 6
direct
0.0000 0.0000 0.0000 Mg
0.6443 0.6438 0.0822 Cr
0.1737 0.1737 0.4724 Fe
0.3534 0.3581 0.9431 Bi
0.8192 0.8098 0.5354 Bi
0.0520 0.3649 0.7184 O
0.2018 0.9681 0.2649 O
0.4056 0.7722 0.8370 O
0.5939 0.2461 0.1998 O
0.8035 0.9663 0.8112 O
0.9622 0.5727 0.2185 O
```

The 6 most intense peaks (2θ = 5–70°), in order of falling intensity:
2θ/deg	d/Å	intensity
21.1	4.219	100
31.8	2.810	65
27.8	3.212	55
20.9	4.250	49
31.3	2.861	49
45.4	1.998	48

=====

# 5
This entry pairs a crystal structure of CaPrZrCrO6 with its calculated PXRD pattern. Radiation: Cu Kα (λ = 1.5418 Å). Structure: the PBE+U geometry in the Materials Project.

Structure:
```
CaPrZrCrO6
1.0
0.0000 4.0216 4.0216
4.0216 0.0000 4.0216
4.0216 4.0216 0.0000
Ca Pr Zr Cr O
1 1 1 1 6
direct
0.0000 0.0000 0.0000 Ca
0.5000 0.5000 0.5000 Pr
0.7500 0.7500 0.7500 Zr
0.2500 0.2500 0.2500 Cr
0.0063 0.0063 0.4937 O
0.0063 0.4937 0.0063 O
0.0063 0.4937 0.4937 O
0.4937 0.0063 0.0063 O
0.4937 0.0063 0.4937 O
0.4937 0.4937 0.0063 O
```

The 6 most intense peaks (2θ = 5–70°), in order of falling intensity:
2θ/deg	d/Å	intensity
31.5	2.844	100
56.0	1.642	38
45.1	2.011	36
19.1	4.644	28
65.7	1.422	21
37.1	2.425	17

=====

# 6
This entry pairs a crystal structure of MnO2 with its calculated PXRD pattern. Radiation: Cu Kα (λ = 1.5418 Å). Structure: the PBE+U geometry in the Materials Project.

Structure:
```
MnO2
1.0
1.4647 0.8457 6.2926
-1.4647 0.8457 6.2926
0.0000 -1.6913 6.2926
Mn O
1 2
direct
0.0000 0.0000 0.0000 Mn
0.2826 0.2826 0.2826 O
0.7174 0.7174 0.7174 O
```

The 6 most intense peaks (2θ = 5–70°), in order of falling intensity:
2θ/deg	d/Å	intensity
14.1	6.293	100
40.4	2.235	20
49.3	1.848	13
35.7	2.514	12
65.4	1.427	7
28.4	3.146	6

=====

# 7
This entry pairs a crystal structure of Mo2P2O9 with its calculated PXRD pattern. Radiation: Cu Kα (λ = 1.5418 Å). Structure: the PBE+U geometry in the Materials Project.

Structure:
```
Mo2P2O9
1.0
14.5158 0.0000 0.0000
0.0000 6.5470 0.0000
0.0000 0.0000 7.9678
Mo P O
8 8 36
direct
0.0000 0.0000 0.0000 Mo
0.0000 0.5000 0.0000 Mo
0.1274 0.2500 0.3564 Mo
0.3726 0.7500 0.8564 Mo
0.5000 0.0000 0.5000 Mo
0.5000 0.5000 0.5000 Mo
0.6274 0.2500 0.1436 Mo
0.8726 0.7500 0.6436 Mo
0.0621 0.7500 0.3563 P
0.1894 0.7500 0.8999 P
0.3106 0.2500 0.3999 P
0.4379 0.2500 0.8563 P
0.5621 0.7500 0.1437 P
0.6894 0.7500 0.6001 P
0.8106 0.2500 0.1001 P
0.9379 0.2500 0.6437 P
0.0131 0.2500 0.5113 O
0.0174 0.7500 0.1729 O
0.0470 0.2500 0.1311 O
0.1221 0.5588 0.3670 O
0.1221 0.9412 0.3670 O
0.1265 0.5578 0.9023 O
0.1265 0.9422 0.9023 O
0.2356 0.2500 0.5372 O
0.2494 0.2500 0.2351 O
0.2506 0.7500 0.7351 O
0.2644 0.7500 0.0372 O
0.3735 0.0578 0.4023 O
0.3735 0.4422 0.4023 O
0.3779 0.0588 0.8670 O
0.3779 0.4412 0.8670 O
0.4530 0.7500 0.6311 O
0.4826 0.2500 0.6729 O
0.4869 0.7500 0.0113 O
0.5131 0.2500 0.9887 O
0.5174 0.7500 0.3271 O
0.5470 0.2500 0.3689 O
0.6221 0.5588 0.1330 O
0.6221 0.9412 0.1330 O
0.6265 0.5578 0.5977 O
0.6265 0.9422 0.5977 O
0.7356 0.2500 0.9628 O
0.7494 0.2500 0.2649 O
0.7506 0.7500 0.7649 O
0.7644 0.7500 0.4628 O
0.8735 0.0578 0.0977 O
0.8735 0.4422 0.0977 O
0.8779 0.0588 0.6330 O
0.8779 0.4412 0.6330 O
0.9530 0.7500 0.8689 O
0.9826 0.2500 0.8271 O
0.9869 0.7500 0.4887 O
```

The 6 most intense peaks (2θ = 5–70°), in order of falling intensity:
2θ/deg	d/Å	intensity
12.2	7.258	100
30.2	2.964	86
16.5	5.366	80
21.5	4.141	80
18.6	4.777	75
23.2	3.842	73

=====

# 8
This entry pairs a crystal structure of BaTiMnNbO6 with its calculated PXRD pattern. Radiation: Cu Kα (λ = 1.5418 Å). Structure: the PBE+U geometry in the Materials Project.

Structure:
```
BaTiMnNbO6
1.0
0.0000 4.0249 4.0249
4.0249 0.0000 4.0249
4.0249 4.0249 0.0000
Ba Ti Mn Nb O
1 1 1 1 6
direct
0.0000 0.0000 0.0000 Ba
0.7500 0.7500 0.7500 Ti
0.5000 0.5000 0.5000 Mn
0.2500 0.2500 0.2500 Nb
0.5024 0.5024 0.9976 O
0.5024 0.9976 0.5024 O
0.5024 0.9976 0.9976 O
0.9976 0.5024 0.5024 O
0.9976 0.5024 0.9976 O
0.9976 0.9976 0.5024 O
```

The 6 most intense peaks (2θ = 5–70°), in order of falling intensity:
2θ/deg	d/Å	intensity
31.4	2.846	100
56.0	1.643	38
45.0	2.012	36
65.6	1.423	21
19.1	4.648	19
37.0	2.427	12

=====

# 9
This entry pairs a crystal structure of VSbO4 with its calculated PXRD pattern. Radiation: Cu Kα (λ = 1.5418 Å). Structure: the PBE+U geometry in the Materials Project.

Structure:
```
VSbO4
1.0
-3.3141 3.3141 3.1538
3.3141 -3.3141 3.1538
3.3141 3.3141 -3.1538
V Sb O
2 2 8
direct
0.0000 0.0000 0.0000 V
0.7500 0.2500 0.5000 V
0.2640 0.7640 0.5000 Sb
0.5140 0.5140 0.0000 Sb
0.2042 0.5128 0.6914 O
0.2628 0.0714 0.8086 O
0.2628 0.4542 0.1914 O
0.3046 0.0021 0.3025 O
0.6995 0.0021 0.6975 O
0.7521 0.5546 0.8025 O
0.7521 0.9495 0.1975 O
0.8214 0.5128 0.3086 O
```

The 6 most intense peaks (2θ = 5–70°), in order of falling intensity:
2θ/deg	d/Å	intensity
26.9	3.314	100
34.3	2.617	71
52.4	1.746	64
19.4	4.569	34
66.8	1.400	20
38.4	2.343	17

=====

Q: Number 4 is which compound?
A: MgCrFeBi2O6